# LaNdMg2Hg4
Simulated powder XRD pattern, Cu Kα (λ = 1.5418 Å). Input: a crystal structure in Alexandria, relaxed with PBE.
No peak broadening, texture or thermal motion is included.

Main lines, by intensity (2θ = 5–70°):
34.37 deg, rel. 100, hkl 1 1 0
61.55 deg, rel. 38, hkl 3 0 0
24.12 deg, rel. 20, hkl 1 0 4
49.39 deg, rel. 18, hkl 2 0 8
20.85 deg, rel. 10, hkl 0 0 6
55.69 deg, rel. 9, hkl 2 1 4
42.42 deg, rel. 7, hkl 0 2 4
40.54 deg, rel. 5, hkl 1 1 6
54.17 deg, rel. 2, hkl 0 1 14
65.74 deg, rel. 2, hkl 2 0 14

```
data_LaNdMg2Hg4
_cell_length_a 5.2199
_cell_length_b 5.2199
_cell_length_c 25.5609
_cell_angle_alpha 90.00
_cell_angle_beta 90.00
_cell_angle_gamma 120.00
_symmetry_space_group_name_H-M 'R -3 m'
_symmetry_Int_Tables_number 166
_symmetry_space_group_name_Hall '-R 3 2"'
loop_
_atom_site_label
_atom_site_type_symbol
_atom_site_fract_x
_atom_site_fract_y
_atom_site_fract_z
La1 La 0.0000 0.0000 0.0000
Nd1 Nd 0.0000 0.0000 0.5000
Mg1 Mg 0.0000 0.0000 0.2496
Hg1 Hg 0.0000 0.0000 0.1265
Hg2 Hg 0.0000 0.0000 0.3760
```


# Ce2PmBi3
Simulated powder XRD pattern, Cu Kα (λ = 1.5418 Å). Input: a crystal structure in Alexandria, relaxed with PBE.
No peak broadening, texture or thermal motion is included.

Main lines, by intensity (2θ = 5–70°):
27.45 deg, rel. 100, hkl 1 0 3
39.21 deg, rel. 79, hkl 2 0 0
64.09 deg, rel. 38, hkl 3 0 3
48.53 deg, rel. 29, hkl 2 2 0
56.66 deg, rel. 14, hkl 2 0 6
23.72 deg, rel. 6, hkl 1 1 0
46.34 deg, rel. 4, hkl 2 1 3
62.28 deg, rel. 2, hkl 3 1 0

```
data_Ce2PmBi3
_cell_length_a 4.5947
_cell_length_b 6.4955
_cell_length_c 13.7885
_cell_angle_alpha 90.00
_cell_angle_beta 90.00
_cell_angle_gamma 90.00
_symmetry_space_group_name_H-M 'I m m m'
_symmetry_Int_Tables_number 71
_symmetry_space_group_name_Hall '-I 2 2'
loop_
_atom_site_label
_atom_site_type_symbol
_atom_site_fract_x
_atom_site_fract_y
_atom_site_fract_z
Ce1 Ce 0.0000 0.0000 0.1667
Pm1 Pm 0.0000 0.0000 0.5000
Bi1 Bi 0.0000 0.5000 0.1670
Bi2 Bi 0.0000 0.5000 0.5000
```


# CaPm3Y6
Simulated powder XRD pattern, Cu Kα (λ = 1.5418 Å). Input: a crystal structure in Alexandria, relaxed with PBE.
No peak broadening, texture or thermal motion is included.

Main lines, by intensity (2θ = 5–70°):
31.16 deg, rel. 100, hkl 3 0 0
28.84 deg, rel. 53, hkl 1 1 3
31.90 deg, rel. 21, hkl 1 0 4
41.17 deg, rel. 20, hkl 3 -1 4
55.45 deg, rel. 19, hkl 3 3 0
42.97 deg, rel. 17, hkl 4 -2 3
54.03 deg, rel. 17, hkl 4 1 3
17.84 deg, rel. 16, hkl 1 1 0
56.50 deg, rel. 14, hkl 3 0 6
48.96 deg, rel. 14, hkl 1 3 4

```
data_CaPm3Y6
_cell_length_a 9.9433
_cell_length_b 9.9433
_cell_length_c 11.8678
_cell_angle_alpha 90.00
_cell_angle_beta 90.00
_cell_angle_gamma 120.00
_symmetry_space_group_name_H-M 'R 3'
_symmetry_Int_Tables_number 146
_symmetry_space_group_name_Hall 'R 3'
loop_
_atom_site_label
_atom_site_type_symbol
_atom_site_fract_x
_atom_site_fract_y
_atom_site_fract_z
Ca1 Ca 0.0000 0.0000 0.0000
Pm1 Pm 0.0000 0.0000 0.2540
Pm2 Pm 0.0000 0.0000 0.5007
Pm3 Pm 0.0000 0.0000 0.7456
Y1 Y 0.0009 0.3290 0.7506
Y2 Y 0.0055 0.6681 0.9142
```


# La6NdTm8
Simulated powder XRD pattern, Cu Kα (λ = 1.5418 Å). Input: a crystal structure in Alexandria, relaxed with PBE.
No peak broadening, texture or thermal motion is included.

Main lines, by intensity (2θ = 5–70°):
31.45 deg, rel. 100, hkl 1 0 7
31.03 deg, rel. 51, hkl 2 0 5
30.56 deg, rel. 41, hkl 3 -1 1
55.44 deg, rel. 18, hkl 5 -1 3
32.03 deg, rel. 17, hkl 1 1 6
36.75 deg, rel. 15, hkl 0 3 3
59.85 deg, rel. 11, hkl 3 2 7
52.15 deg, rel. 9, hkl 0 3 9
53.97 deg, rel. 9, hkl 3 2 4
53.77 deg, rel. 8, hkl 4 1 0

```
data_La6NdTm8
_cell_length_a 9.0206
_cell_length_b 9.0206
_cell_length_c 21.3552
_cell_angle_alpha 90.00
_cell_angle_beta 90.00
_cell_angle_gamma 120.00
_symmetry_space_group_name_H-M 'R -3'
_symmetry_Int_Tables_number 148
_symmetry_space_group_name_Hall '-R 3'
loop_
_atom_site_label
_atom_site_type_symbol
_atom_site_fract_x
_atom_site_fract_y
_atom_site_fract_z
La1 La 0.0511 0.2473 0.2141
Nd1 Nd 0.0000 0.0000 0.5000
Tm1 Tm 0.0000 0.0000 0.0764
Tm2 Tm 0.0795 0.5748 0.3059
```


# Ca2TlHg2
Simulated powder XRD pattern, Cu Kα (λ = 1.5418 Å). Input: a crystal structure in Alexandria, relaxed with PBE.
No peak broadening, texture or thermal motion is included.

Main lines, by intensity (2θ = 5–70°):
33.92 deg, rel. 100, hkl 1 5 0
31.39 deg, rel. 61, hkl 1 1 1
42.48 deg, rel. 51, hkl 1 5 1
24.78 deg, rel. 48, hkl 0 0 1
18.95 deg, rel. 46, hkl 1 1 0
36.63 deg, rel. 32, hkl 2 0 0
62.53 deg, rel. 26, hkl 1 5 2
64.26 deg, rel. 24, hkl 2 0 2
44.73 deg, rel. 21, hkl 2 0 1
50.73 deg, rel. 16, hkl 2 4 1

```
data_Ca2TlHg2
_cell_length_a 4.9063
_cell_length_b 15.6723
_cell_length_c 3.5925
_cell_angle_alpha 90.00
_cell_angle_beta 90.00
_cell_angle_gamma 90.00
_symmetry_space_group_name_H-M 'C m m m'
_symmetry_Int_Tables_number 65
_symmetry_space_group_name_Hall '-C 2 2'
loop_
_atom_site_label
_atom_site_type_symbol
_atom_site_fract_x
_atom_site_fract_y
_atom_site_fract_z
Ca1 Ca 0.0000 0.1191 0.0000
Tl1 Tl 0.0000 0.5000 0.5000
Hg1 Hg 0.0000 0.3011 0.5000
```


# Be3CoB12
Simulated powder XRD pattern, Cu Kα (λ = 1.5418 Å). Input: a crystal structure in Alexandria, relaxed with PBE.
No peak broadening, texture or thermal motion is included.

Main lines, by intensity (2θ = 5–70°):
17.22 deg, rel. 100, hkl 1 1 0
24.21 deg, rel. 81, hkl 0 1 2
34.68 deg, rel. 58, hkl 1 2 2
46.68 deg, rel. 24, hkl 4 1 0
29.87 deg, rel. 22, hkl 2 0 2
42.89 deg, rel. 21, hkl 3 1 2
49.98 deg, rel. 21, hkl 2 3 2
59.09 deg, rel. 18, hkl 1 3 4
34.85 deg, rel. 17, hkl 2 2 0
30.06 deg, rel. 17, hkl 3 0 0

```
data_Be3CoB12
_cell_length_a 10.2974
_cell_length_b 10.2974
_cell_length_c 8.0695
_cell_angle_alpha 90.00
_cell_angle_beta 90.00
_cell_angle_gamma 120.00
_symmetry_space_group_name_H-M 'R 3 c'
_symmetry_Int_Tables_number 161
_symmetry_space_group_name_Hall 'R 3 -2"c'
loop_
_atom_site_label
_atom_site_type_symbol
_atom_site_fract_x
_atom_site_fract_y
_atom_site_fract_z
Be1 Be 0.0868 0.3687 0.0000
Co1 Co 0.0000 0.0000 0.0809
B1 B 0.0168 0.1876 0.1306
B2 B 0.1536 0.3430 0.2326
B3 B 0.1757 0.4765 0.3910
B4 B 0.1876 0.0439 0.9332
```


# Sb4Mo3
Simulated powder XRD pattern, Cu Kα (λ = 1.5418 Å). Input: a crystal structure in Alexandria, relaxed with PBE.
No peak broadening, texture or thermal motion is included.

Main lines, by intensity (2θ = 5–70°):
34.92 deg, rel. 100, hkl 1 0 7
38.91 deg, rel. 60, hkl 1 1 0
44.08 deg, rel. 39, hkl 1 0 11
67.89 deg, rel. 28, hkl 2 1 7
12.20 deg, rel. 22, hkl 0 0 4
56.20 deg, rel. 20, hkl 2 0 0
28.79 deg, rel. 14, hkl 1 0 3
30.80 deg, rel. 8, hkl 0 0 10
50.42 deg, rel. 8, hkl 1 1 10
57.11 deg, rel. 8, hkl 0 0 18

```
data_Sb4Mo3
_cell_length_a 3.2737
_cell_length_b 3.2737
_cell_length_c 29.0287
_cell_angle_alpha 90.00
_cell_angle_beta 90.00
_cell_angle_gamma 90.00
_symmetry_space_group_name_H-M 'I 4/m m m'
_symmetry_Int_Tables_number 139
_symmetry_space_group_name_Hall '-I 4 2'
loop_
_atom_site_label
_atom_site_type_symbol
_atom_site_fract_x
_atom_site_fract_y
_atom_site_fract_z
Sb1 Sb 0.0000 0.0000 0.0577
Sb2 Sb 0.0000 0.0000 0.3361
Mo1 Mo 0.0000 0.0000 0.2272
Mo2 Mo 0.0000 0.0000 0.5000
```


# Cs2TaCl7
Simulated powder XRD pattern, Cu Kα (λ = 1.5418 Å). Input: a crystal structure in Alexandria, relaxed with PBE.
No peak broadening, texture or thermal motion is included.

Main lines, by intensity (2θ = 5–70°):
17.90 deg, rel. 100, hkl 1 1 1
13.00 deg, rel. 67, hkl 2 0 0
29.87 deg, rel. 65, hkl 2 0 -4
20.07 deg, rel. 51, hkl 4 0 -2
29.97 deg, rel. 38, hkl 5 1 -1
23.72 deg, rel. 34, hkl 3 1 -3
24.18 deg, rel. 33, hkl 2 2 -1
36.53 deg, rel. 26, hkl 1 3 -2
40.75 deg, rel. 24, hkl 8 0 -4
36.75 deg, rel. 24, hkl 0 0 4

```
data_Cs2TaCl7
_cell_length_a 17.7400
_cell_length_b 8.0945
_cell_length_c 12.7626
_cell_angle_alpha 90.00
_cell_angle_beta 129.92
_cell_angle_gamma 90.00
_symmetry_space_group_name_H-M 'C 1 2/c 1'
_symmetry_Int_Tables_number 15
loop_
_symmetry_equiv_pos_as_xyz
'x,y,z'
'-x,-y,-z'
'-x,y,-z+1/2'
'x,-y,z+1/2'
'x+1/2,y+1/2,z'
'-x+1/2,-y+1/2,-z'
'-x+1/2,y+1/2,-z+1/2'
'x+1/2,-y+1/2,z+1/2'
loop_
_atom_site_label
_atom_site_type_symbol
_atom_site_fract_x
_atom_site_fract_y
_atom_site_fract_z
Cs1 Cs 0.1378 0.1681 0.0465
Ta1 Ta 0.0000 0.2913 0.2500
Cl1 Cl 0.0000 0.4022 0.7500
Cl2 Cl 0.0864 0.2890 0.4882
Cl3 Cl 0.0870 0.0356 0.2575
Cl4 Cl 0.1545 0.3833 0.3009
```


# SmReW
Simulated powder XRD pattern, Cu Kα (λ = 1.5418 Å). Input: a crystal structure in Alexandria, relaxed with PBE.
No peak broadening, texture or thermal motion is included.

Main lines, by intensity (2θ = 5–70°):
43.66 deg, rel. 100, hkl 2 2 4
36.46 deg, rel. 63, hkl 1 1 7
32.51 deg, rel. 52, hkl 0 2 6
42.85 deg, rel. 50, hkl 0 4 4
17.25 deg, rel. 39, hkl 0 0 4
36.30 deg, rel. 39, hkl 1 3 3
39.78 deg, rel. 38, hkl 2 2 0
60.62 deg, rel. 35, hkl 1 3 11
35.64 deg, rel. 33, hkl 2 0 2
34.91 deg, rel. 29, hkl 0 0 8

```
data_SmReW
_cell_length_a 5.1964
_cell_length_b 9.2587
_cell_length_c 20.5586
_cell_angle_alpha 90.00
_cell_angle_beta 90.00
_cell_angle_gamma 90.00
_symmetry_space_group_name_H-M 'F d d d'
_symmetry_Int_Tables_number 70
loop_
_symmetry_equiv_pos_as_xyz
'x,y,z'
'-x,-y,-z'
'-x+1/4,-y+1/4,z'
'x+1/4,y+1/4,-z'
'x,-y+1/4,-z+1/4'
'-x,y+1/4,z+1/4'
'-x+1/4,y,-z+1/4'
'x+1/4,-y,z+1/4'
'x,y+1/2,z+1/2'
'-x,-y+1/2,-z+1/2'
'-x+1/4,-y+3/4,z+1/2'
'x+1/4,y+3/4,-z+1/2'
'x,-y+3/4,-z+3/4'
'-x,y+3/4,z+3/4'
'-x+1/4,y+1/2,-z+3/4'
'x+1/4,-y+1/2,z+3/4'
'x+1/2,y,z+1/2'
'-x+1/2,-y,-z+1/2'
'-x+3/4,-y+1/4,z+1/2'
'x+3/4,y+1/4,-z+1/2'
'x+1/2,-y+1/4,-z+3/4'
'-x+1/2,y+1/4,z+3/4'
'-x+3/4,y,-z+3/4'
'x+3/4,-y,z+3/4'
'x+1/2,y+1/2,z'
'-x+1/2,-y+1/2,-z'
'-x+3/4,-y+3/4,z'
'x+3/4,y+3/4,-z'
'x+1/2,-y+3/4,-z+1/4'
'-x+1/2,y+3/4,z+1/4'
'-x+3/4,y+1/2,-z+1/4'
'x+3/4,-y+1/2,z+1/4'
loop_
_atom_site_label
_atom_site_type_symbol
_atom_site_fract_x
_atom_site_fract_y
_atom_site_fract_z
Sm1 Sm 0.1250 0.2932 0.1250
Re1 Re 0.1250 0.1250 0.0005
W1 W 0.1250 0.1250 0.5355
```


# Ag5I4Br2
Simulated powder XRD pattern, Cu Kα (λ = 1.5418 Å). Input: a crystal structure in Alexandria, relaxed with PBE.
No peak broadening, texture or thermal motion is included.

Main lines, by intensity (2θ = 5–70°):
41.31 deg, rel. 100, hkl 1 1 0
28.12 deg, rel. 70, hkl 0 1 11
42.61 deg, rel. 65, hkl 1 0 25
23.54 deg, rel. 57, hkl 1 0 1
30.65 deg, rel. 55, hkl 0 1 14
20.80 deg, rel. 32, hkl 0 0 15
27.37 deg, rel. 31, hkl 1 0 10
46.69 deg, rel. 22, hkl 1 1 15
60.85 deg, rel. 22, hkl 0 2 25
33.56 deg, rel. 21, hkl 0 1 17

```
data_Ag5I4Br2
_cell_length_a 4.3710
_cell_length_b 4.3710
_cell_length_c 64.0541
_cell_angle_alpha 90.00
_cell_angle_beta 90.00
_cell_angle_gamma 120.00
_symmetry_space_group_name_H-M 'R -3 m'
_symmetry_Int_Tables_number 166
_symmetry_space_group_name_Hall '-R 3 2"'
loop_
_atom_site_label
_atom_site_type_symbol
_atom_site_fract_x
_atom_site_fract_y
_atom_site_fract_z
Ag1 Ag 0.0000 0.0000 0.0000
Ag2 Ag 0.0000 0.0000 0.1178
Ag3 Ag 0.0000 0.0000 0.2822
I1 I 0.0000 0.0000 0.0739
I2 I 0.0000 0.0000 0.1964
Br1 Br 0.0000 0.0000 0.3570
```